No. 1
Diffraction record for RbBaHg2Cl8. The powder XRD pattern is computed, not measured: it uses a structure optimized by DFT (GGA-PBE) and Cu Kα.
Kinematic intensities with the Lorentz-polarization factor, no thermal factor.

Principal peaks in the range 10 to 90 degrees two-theta, in order of falling intensity:
2θ (°)  intensity
20.9  100
34.0  40
41.5  38
38.9  22
35.4  18
53.6  16
24.8  15
42.5  15

Lattice parameters (Å, degrees): 9.307 9.307 9.307 134.70 134.70 66.00
Positions (direct):
Rb: 0.000 0.000 0.000
Ba: 0.750 0.250 0.500
Hg: 0.250 0.750 0.500
Hg: 0.500 0.500 0.000
Cl: 0.010 0.938 0.599
Cl: 0.062 0.661 0.072
Cl: 0.150 0.269 0.593
Cl: 0.339 0.411 0.401
Cl: 0.443 0.850 0.120
Cl: 0.589 0.990 0.928
Cl: 0.677 0.557 0.407
Cl: 0.731 0.323 0.880

***

No. 2
Diffraction record for Th3CuNi. The powder XRD pattern is computed, not measured: it uses a structure optimized by DFT (GGA-PBE) and Cu Kα.
Kinematic intensities with the Lorentz-polarization factor, no thermal factor.

Principal peaks in the range 10 to 90 degrees two-theta, in order of falling intensity:
2θ (°)  intensity
28.9  100
32.2  81
34.4  70
51.8  54
22.5  47
37.5  45
43.4  27
34.0  20

Lattice parameters (Å, degrees): 7.928 7.928 4.798 90.00 90.00 118.82
Positions (direct):
Th: 0.000 0.500 0.500
Th: 0.158 0.842 0.000
Th: 0.313 0.313 0.500
Th: 0.500 0.000 0.500
Th: 0.687 0.687 0.500
Th: 0.842 0.158 0.000
Cu: 0.384 0.616 0.000
Cu: 0.616 0.384 0.000
Ni: 0.087 0.913 0.500
Ni: 0.913 0.087 0.500

***

No. 3
Diffraction record for Li2ScIr. The powder XRD pattern is computed, not measured: it uses a structure optimized by DFT (GGA-PBE) and Cu Kα.
Kinematic intensities with the Lorentz-polarization factor, no thermal factor.

Principal peaks in the range 10 to 90 degrees two-theta, in order of falling intensity:
2θ (°)  intensity
18.3  100
39.2  34
19.9  34
27.1  30
41.5  25
44.6  24
34.4  21
36.9  21

Lattice parameters (Å, degrees): 3.055 4.851 4.484 90.00 94.31 90.00
Positions (direct):
Li: 0.219 0.000 0.287
Li: 0.781 0.000 0.713
Sc: 0.500 0.500 0.000
Ir: 0.000 0.500 0.500

***

No. 4
Diffraction record for Na2AlH4ClO4. The powder XRD pattern is computed, not measured: it uses a structure optimized by DFT (GGA-PBE) and Cu Kα.
Kinematic intensities with the Lorentz-polarization factor, no thermal factor.

Principal peaks in the range 10 to 90 degrees two-theta, in order of falling intensity:
2θ (°)  intensity
31.6  100
29.3  85
47.5  29
52.4  23
56.8  19
49.4  17
43.0  15
33.1  15

Lattice parameters (Å, degrees): 7.653 7.653 5.037 90.00 90.00 90.00
Positions (direct):
Na: 0.000 0.000 0.000
Na: 0.000 0.500 0.000
Na: 0.500 0.000 0.000
Na: 0.500 0.500 0.000
Al: 0.250 0.750 0.500
Al: 0.750 0.250 0.500
H: 0.040 0.250 0.396
H: 0.250 0.040 0.396
H: 0.250 0.460 0.396
H: 0.460 0.250 0.396
H: 0.540 0.750 0.604
H: 0.750 0.540 0.604
H: 0.750 0.960 0.604
H: 0.960 0.750 0.604
Cl: 0.250 0.250 0.720
Cl: 0.750 0.750 0.280
O: 0.065 0.750 0.715
O: 0.250 0.565 0.285
O: 0.250 0.935 0.285
O: 0.435 0.750 0.715
O: 0.565 0.250 0.285
O: 0.750 0.065 0.715
O: 0.750 0.435 0.715
O: 0.935 0.250 0.285

***

No. 5
Diffraction record for RbAl2VCl8. The powder XRD pattern is computed, not measured: it uses a structure optimized by DFT (GGA-PBE) and Cu Kα.
Kinematic intensities with the Lorentz-polarization factor, no thermal factor.

Principal peaks in the range 10 to 90 degrees two-theta, in order of falling intensity:
2θ (°)  intensity
29.3  100
33.6  89
20.2  89
47.5  49
49.1  46
28.1  39
27.8  27
57.5  24

Lattice parameters (Å, degrees): 10.238 10.238 10.238 36.58 36.58 36.58
Positions (direct):
Rb: 0.000 0.000 0.000
Al: 0.245 0.245 0.245
Al: 0.755 0.755 0.755
V: 0.500 0.500 0.500
Cl: 0.105 0.770 0.460
Cl: 0.230 0.540 0.895
Cl: 0.321 0.321 0.321
Cl: 0.460 0.105 0.770
Cl: 0.540 0.895 0.230
Cl: 0.679 0.679 0.679
Cl: 0.770 0.460 0.105
Cl: 0.895 0.230 0.540